Record 1
The following is a theoretical powder diffraction line list of Ti2CuPt6. It was derived from a structure optimized by DFT (PBE), using Cu Kα, 1.54184 Å.
Kinematic intensities with the Lorentz-polarization factor, no thermal factor.

Structural model:
```
9
Lattice="7.496 0.000 0.000 -3.748 6.492 0.000 0.000 0.000 2.816" Properties=species:S:1:pos:R:3 pbc="T T T"
Ti 0.000 4.328 0.000
Ti 3.748 2.164 0.000
Cu 0.000 0.000 1.408
Pt -1.377 2.386 1.408
Pt -2.630 4.554 0.000
Pt 1.119 1.938 0.000
Pt 2.755 0.000 1.408
Pt 2.371 4.106 1.408
Pt 5.259 0.000 0.000
```

Most intense lines, 2θ from 10° to 80°, low angle first:
d 3.748, 2θ = 23.74°, I 30.6; d 2.454, 2θ = 36.62°, I 17.9; d 2.251, 2θ = 40.05°, I 100.0; d 2.164, 2θ = 41.74°, I 65.9; d 2.127, 2θ = 42.50°, I 14.5; d 1.560, 2θ = 59.23°, I 23.9; d 1.407, 2θ = 66.44°, I 11.3; d 1.317, 2θ = 71.67°, I 16.0; d 1.266, 2θ = 75.06°, I 17.5; d 1.249, 2θ = 76.20°, I 6.5


Record 2
The following is a theoretical powder diffraction line list of Tm4Cu2Pt. It was derived from a structure optimized by DFT (PBE), using Cu Kα, 1.54184 Å.
Kinematic intensities with the Lorentz-polarization factor, no thermal factor.

Structural model:
```
14
Lattice="6.861 0.000 0.000 -2.155 7.101 0.000 -2.158 -2.846 6.594" Properties=species:S:1:pos:R:3 pbc="T T T"
Tm 0.000 0.000 0.000
Tm -1.380 -1.098 3.771
Tm -0.789 2.409 2.308
Tm -0.081 5.927 2.631
Tm -0.185 2.269 6.447
Tm 1.335 -1.405 5.939
Tm 2.631 2.556 2.452
Tm 3.494 1.229 5.532
Cu -2.064 3.641 4.426
Cu 0.923 0.958 4.182
Cu 0.861 3.795 4.299
Cu 4.447 4.608 1.494
Pt 0.938 2.573 0.047
Pt 4.332 0.271 1.688
```

Most intense lines, 2θ from 10° to 80°, low angle first:
d 3.261, 2θ = 27.35°, I 55.2; d 2.900, 2θ = 30.84°, I 55.6; d 2.884, 2θ = 31.00°, I 80.9; d 2.814, 2θ = 31.79°, I 61.9; d 2.691, 2θ = 33.29°, I 50.2; d 2.679, 2θ = 33.45°, I 91.8; d 2.665, 2θ = 33.63°, I 90.3; d 2.589, 2θ = 34.65°, I 100.0; d 2.478, 2θ = 36.25°, I 66.3; d 2.198, 2θ = 41.07°, I 77.3


Record 3
The following is a theoretical powder diffraction line list of Tm8CuPt2. It was derived from a structure optimized by DFT (PBE), using Cu Kα, 1.54184 Å.
Kinematic intensities with the Lorentz-polarization factor, no thermal factor.

Structural model:
```
11
Lattice="4.191 -6.314 0.000 4.191 6.314 0.000 -1.782 0.000 5.496" Properties=species:S:1:pos:R:3 pbc="T T T"
Tm 0.000 0.000 0.000
Tm 0.253 1.626 3.238
Tm 2.737 2.796 1.008
Tm 0.253 -1.626 3.238
Tm 3.365 1.634 4.367
Tm 2.737 -2.796 1.008
Tm 3.365 -1.634 4.367
Tm 5.435 0.000 2.022
Cu 2.999 0.000 0.146
Pt 1.811 3.926 3.768
Pt 1.811 -3.926 3.768
```

Most intense lines, 2θ from 10° to 80°, low angle first:
d 3.371, 2θ = 26.44°, I 43.8; d 2.895, 2θ = 30.89°, I 100.0; d 2.838, 2θ = 31.53°, I 42.7; d 2.814, 2θ = 31.80°, I 44.1; d 2.738, 2θ = 32.71°, I 77.8; d 2.685, 2θ = 33.38°, I 96.5; d 2.520, 2θ = 35.63°, I 51.0; d 2.475, 2θ = 36.30°, I 49.2; d 2.468, 2θ = 36.40°, I 46.3; d 2.285, 2θ = 39.43°, I 67.2


Record 4
The following is a theoretical powder diffraction line list of UCuPt4. It was derived from a structure optimized by DFT (PBE), using Cu Kα, 1.54184 Å.
Kinematic intensities with the Lorentz-polarization factor, no thermal factor.

Structural model:
```
12
Lattice="4.532 0.000 0.000 0.000 6.890 0.000 0.000 0.000 6.936" Properties=species:S:1:pos:R:3 pbc="T T T"
U 1.133 1.723 1.255
U 3.399 5.168 5.680
Cu 1.133 5.168 0.664
Cu 3.399 1.723 6.272
Pt 1.133 0.254 5.780
Pt 1.133 3.191 5.780
Pt 1.133 3.753 2.879
Pt 1.133 6.583 2.879
Pt 3.399 0.308 4.057
Pt 3.399 3.138 4.057
Pt 3.399 3.699 1.155
Pt 3.399 6.636 1.155
```

Most intense lines, 2θ from 10° to 80°, low angle first:
d 3.445, 2θ = 25.86°, I 18.3; d 3.324, 2θ = 26.82°, I 14.4; d 2.754, 2θ = 32.51°, I 27.4; d 2.553, 2θ = 35.15°, I 51.8; d 2.312, 2θ = 38.96°, I 16.9; d 2.266, 2θ = 39.78°, I 49.0; d 2.180, 2θ = 41.41°, I 21.4; d 2.151, 2θ = 42.00°, I 100.0; d 1.571, 2θ = 58.77°, I 15.7; d 1.285, 2θ = 73.73°, I 19.4


Record 5
The following is a theoretical powder diffraction line list of VCu3Pt4. It was derived from a structure optimized by DFT (PBE), using Cu Kα, 1.54184 Å.
Kinematic intensities with the Lorentz-polarization factor, no thermal factor.

Structural model:
```
16
Lattice="8.807 0.000 0.000 0.000 5.572 0.000 0.000 0.000 4.567" Properties=species:S:1:pos:R:3 pbc="T T T"
V 0.000 0.000 0.000
V 4.404 0.000 0.000
Cu 0.000 2.786 0.000
Cu 2.202 0.000 1.689
Cu 2.202 2.786 1.705
Cu 4.404 2.786 0.000
Cu 6.605 0.000 2.878
Cu 6.605 2.786 2.862
Pt 0.000 1.390 2.284
Pt 0.000 4.182 2.284
Pt 2.202 1.403 4.014
Pt 2.202 4.168 4.014
Pt 4.404 1.390 2.284
Pt 4.404 4.182 2.284
Pt 6.605 1.403 0.553
Pt 6.605 4.168 0.553
```

Most intense lines, 2θ from 10° to 80°, low angle first:
d 3.170, 2θ = 28.15°, I 40.1; d 2.786, 2θ = 32.13°, I 18.7; d 2.296, 2θ = 39.24°, I 22.8; d 2.284, 2θ = 39.46°, I 11.2; d 2.210, 2θ = 40.82°, I 20.9; d 2.202, 2θ = 40.99°, I 39.8; d 2.093, 2θ = 43.23°, I 100.0; d 2.027, 2θ = 44.70°, I 14.2; d 1.848, 2θ = 49.31°, I 11.8; d 1.249, 2θ = 76.22°, I 18.5


Record 6
The following is a theoretical powder diffraction line list of Cu4Pt5W. It was derived from a structure optimized by DFT (PBE), using Cu Kα, 1.54184 Å.
Kinematic intensities with the Lorentz-polarization factor, no thermal factor.

Structural model:
```
10
Lattice="2.799 0.000 0.000 0.000 2.799 0.000 0.000 0.000 18.233" Properties=species:S:1:pos:R:3 pbc="T T T"
Cu 0.000 0.000 1.786
Cu 0.000 0.000 5.335
Cu 0.000 0.000 12.898
Cu 0.000 0.000 16.447
Pt 1.399 1.399 0.000
Pt 1.399 1.399 3.577
Pt 1.399 1.399 7.207
Pt 1.399 1.399 11.026
Pt 1.399 1.399 14.656
W 0.000 0.000 9.116
```

Most intense lines, 2θ from 10° to 80°, low angle first:
d 3.647, 2θ = 24.41°, I 11.5; d 2.799, 2θ = 31.98°, I 11.9; d 2.220, 2θ = 40.63°, I 100.0; d 1.979, 2θ = 45.85°, I 36.0; d 1.823, 2θ = 50.03°, I 13.1; d 1.739, 2θ = 52.61°, I 6.2; d 1.528, 2θ = 60.61°, I 4.0; d 1.399, 2θ = 66.85°, I 11.6; d 1.341, 2θ = 70.18°, I 18.9; d 1.307, 2θ = 72.32°, I 2.6


Record 7
The following is a theoretical powder diffraction line list of Cu3Pt4W. It was derived from a structure optimized by DFT (PBE), using Cu Kα, 1.54184 Å.
Kinematic intensities with the Lorentz-polarization factor, no thermal factor.

Structural model:
```
8
Lattice="-1.970 1.970 7.432 1.970 -1.970 7.432 1.970 1.970 -7.432" Properties=species:S:1:pos:R:3 pbc="T T T"
Cu 0.000 0.000 0.000
Cu 0.000 0.000 3.670
Cu 0.000 0.000 11.193
Pt 1.970 0.000 1.829
Pt 1.970 0.000 5.602
Pt 0.000 1.970 1.829
Pt 0.000 1.970 5.602
W 0.000 0.000 7.432
```

Most intense lines, 2θ from 10° to 80°, low angle first:
d 7.432, 2θ = 11.91°, I 5.9; d 3.716, 2θ = 23.95°, I 10.2; d 2.787, 2θ = 32.12°, I 9.8; d 2.229, 2θ = 40.46°, I 100.0; d 1.970, 2θ = 46.07°, I 34.6; d 1.858, 2θ = 49.03°, I 14.3; d 1.741, 2θ = 52.57°, I 5.3; d 1.546, 2θ = 59.83°, I 3.6; d 1.393, 2θ = 67.19°, I 11.2; d 1.352, 2θ = 69.54°, I 20.0


Record 8
The following is a theoretical powder diffraction line list of Y5Cu4Pt. It was derived from a structure optimized by DFT (PBE), using Cu Kα, 1.54184 Å.
Kinematic intensities with the Lorentz-polarization factor, no thermal factor.

Structural model:
```
10
Lattice="3.475 0.000 0.000 0.000 3.475 0.000 0.000 0.000 17.615" Properties=species:S:1:pos:R:3 pbc="T T T"
Y 0.000 0.000 0.000
Y 0.000 0.000 3.525
Y 0.000 0.000 7.060
Y 0.000 0.000 10.556
Y 0.000 0.000 14.090
Cu 1.737 1.737 1.752
Cu 1.737 1.737 5.255
Cu 1.737 1.737 12.360
Cu 1.737 1.737 15.863
Pt 1.737 1.737 8.808
```

Most intense lines, 2θ from 10° to 80°, low angle first:
d 8.808, 2θ = 10.04°, I 8.7; d 3.409, 2θ = 26.14°, I 3.9; d 2.474, 2θ = 36.31°, I 100.0; d 2.457, 2θ = 36.57°, I 49.1; d 1.762, 2θ = 51.91°, I 8.7; d 1.737, 2θ = 52.68°, I 16.7; d 1.432, 2θ = 65.16°, I 17.4; d 1.422, 2θ = 65.67°, I 33.5; d 1.237, 2θ = 77.10°, I 10.3; d 1.229, 2θ = 77.73°, I 5.1


Please write out number 6 again, unchanged.
The following is a theoretical powder diffraction line list of Cu4Pt5W. It was derived from a structure optimized by DFT (PBE), using Cu Kα, 1.54184 Å.
Kinematic intensities with the Lorentz-polarization factor, no thermal factor.

Structural model:
```
10
Lattice="2.799 0.000 0.000 0.000 2.799 0.000 0.000 0.000 18.233" Properties=species:S:1:pos:R:3 pbc="T T T"
Cu 0.000 0.000 1.786
Cu 0.000 0.000 5.335
Cu 0.000 0.000 12.898
Cu 0.000 0.000 16.447
Pt 1.399 1.399 0.000
Pt 1.399 1.399 3.577
Pt 1.399 1.399 7.207
Pt 1.399 1.399 11.026
Pt 1.399 1.399 14.656
W 0.000 0.000 9.116
```

Most intense lines, 2θ from 10° to 80°, low angle first:
d 3.647, 2θ = 24.41°, I 11.5; d 2.799, 2θ = 31.98°, I 11.9; d 2.220, 2θ = 40.63°, I 100.0; d 1.979, 2θ = 45.85°, I 36.0; d 1.823, 2θ = 50.03°, I 13.1; d 1.739, 2θ = 52.61°, I 6.2; d 1.528, 2θ = 60.61°, I 4.0; d 1.399, 2θ = 66.85°, I 11.6; d 1.341, 2θ = 70.18°, I 18.9; d 1.307, 2θ = 72.32°, I 2.6